1.
For Ba3Mo2N4, a crystal structure in Alexandria, relaxed with PBE gives the theoretical powder XRD pattern in this record (Cu Kα X-rays).
Peak positions follow from Bragg's law for the DFT cell and can differ from measured ones.

Atomic structure:
```
data_Ba3Mo2N4
_symmetry_space_group_name_H-M 'P -1'
_symmetry_Int_Tables_number 2
_symmetry_space_group_name_Hall '-P 1'
_cell_length_a 6.3387
_cell_length_b 7.3302
_cell_length_c 7.8192
_cell_angle_alpha 87.98
_cell_angle_beta 89.87
_cell_angle_gamma 87.46
loop_
_atom_site_label
_atom_site_type_symbol
_atom_site_fract_x
_atom_site_fract_y
_atom_site_fract_z
Ba1 Ba 0.0139 0.0829 0.2416
Ba2 Ba 0.2553 0.5241 0.9502
Ba3 Ba 0.4776 0.2666 0.4434
Mo1 Mo 0.0324 0.6414 0.3776
Mo2 Mo 0.4841 0.1154 0.8524
N1 N 0.1454 0.5864 0.6086
N2 N 0.2286 0.2082 0.7453
N3 N 0.2775 0.7767 0.2608
N4 N 0.4903 0.1668 0.1024
```

Most intense lines, 2θ from 10° to 90°, most intense first:
d (Å), 2θ (°), intensity, h k l
3.019, 29.59, 100, 1 2 1
3.091, 28.89, 84, 1 1 2
3.324, 26.82, 83, 1 0 -2
2.919, 30.63, 83, -1 2 1
3.270, 27.27, 79, 0 2 -1
3.397, 26.23, 77, 0 1 -2
2.935, 30.46, 61, 2 0 1
2.954, 30.26, 61, 2 1 0
3.166, 28.18, 61, 2 0 0
3.109, 28.71, 44, 1 -2 0

***

2.
For Pr3Ge4Os2, a crystal structure in Alexandria, relaxed with PBE gives the theoretical powder XRD pattern in this record (Cu Kα X-rays).
Peak positions follow from Bragg's law for the DFT cell and can differ from measured ones.

Atomic structure:
```
data_Pr3Ge4Os2
_symmetry_space_group_name_H-M 'C 1 2/m 1'
_symmetry_Int_Tables_number 12
_symmetry_space_group_name_Hall '-C 2y'
_cell_length_a 11.2257
_cell_length_b 4.4173
_cell_length_c 8.4188
_cell_angle_alpha 90.00
_cell_angle_beta 109.04
_cell_angle_gamma 90.00
loop_
_atom_site_label
_atom_site_type_symbol
_atom_site_fract_x
_atom_site_fract_y
_atom_site_fract_z
Pr1 Pr 0.0000 0.0000 0.0000
Pr2 Pr 0.1172 0.5000 0.7006
Ge1 Ge 0.1020 0.0000 0.4030
Ge2 Ge 0.2106 0.5000 0.0835
Os1 Os 0.1877 0.5000 0.3631
```

Most intense lines, 2θ from 10° to 90°, most intense first:
d (Å), 2θ (°), intensity, h k l
2.761, 32.43, 100, 3 1 0
2.209, 40.86, 53, 0 2 0
2.215, 40.73, 49, 3 1 -3
2.653, 33.79, 41, 0 0 3
2.842, 31.48, 38, 3 1 -1
7.958, 11.12, 32, 0 0 1
5.292, 16.75, 30, 2 0 -1
3.045, 29.33, 30, 1 1 -2
2.302, 39.14, 28, 4 0 1
2.424, 37.08, 25, 3 1 1

***

3.
For Ta6TlS12, a crystal structure in Alexandria, relaxed with PBE gives the theoretical powder XRD pattern in this record (Cu Kα X-rays).
Peak positions follow from Bragg's law for the DFT cell and can differ from measured ones.

Atomic structure:
```
data_Ta6TlS12
_symmetry_space_group_name_H-M 'R -3 m'
_symmetry_Int_Tables_number 166
_symmetry_space_group_name_Hall '-R 3 2"'
_cell_length_a 11.8435
_cell_length_b 11.8435
_cell_length_c 9.2784
_cell_angle_alpha 90.00
_cell_angle_beta 90.00
_cell_angle_gamma 120.00
loop_
_atom_site_label
_atom_site_type_symbol
_atom_site_fract_x
_atom_site_fract_y
_atom_site_fract_z
Ta1 Ta 0.0746 0.5373 0.2907
Tl1 Tl 0.0000 0.0000 0.0000
S1 S 0.0000 0.3733 0.5000
S2 S 0.0944 0.1888 0.3649
```

Most intense lines, 2θ from 10° to 90°, most intense first:
d (Å), 2θ (°), intensity, h k l
3.577, 24.89, 100, 2 1 1
2.975, 30.04, 43, 1 2 2
1.876, 48.52, 24, 5 0 2
2.003, 45.27, 23, 0 5 1
1.974, 45.98, 22, 3 3 0
2.294, 39.28, 20, 0 3 3
2.281, 39.51, 17, 3 2 1
3.093, 28.87, 16, 0 0 3
2.961, 30.18, 16, 2 2 0
1.359, 69.10, 13, 2 6 2

***

4.
For FeCuRh, a crystal structure in Alexandria, relaxed with PBE gives the theoretical powder XRD pattern in this record (Cu Kα X-rays).
Peak positions follow from Bragg's law for the DFT cell and can differ from measured ones.

Atomic structure:
```
data_FeCuRh
_symmetry_space_group_name_H-M 'P 4/n m m'
_symmetry_Int_Tables_number 129
_cell_length_a 2.9503
_cell_length_b 2.9503
_cell_length_c 8.9174
_cell_angle_alpha 90.00
_cell_angle_beta 90.00
_cell_angle_gamma 90.00
loop_
_symmetry_equiv_pos_as_xyz
'x,y,z'
'-x,-y,-z'
'-y+1/2,x,z'
'y+1/2,-x,-z'
'-x+1/2,-y+1/2,z'
'x+1/2,y+1/2,-z'
'y,-x+1/2,z'
'-y,x+1/2,-z'
'x+1/2,-y,-z'
'-x+1/2,y,z'
'-y,-x,-z'
'y,x,z'
'-x,y+1/2,-z'
'x,-y+1/2,z'
'y+1/2,x+1/2,-z'
'-y+1/2,-x+1/2,z'
loop_
_atom_site_label
_atom_site_type_symbol
_atom_site_fract_x
_atom_site_fract_y
_atom_site_fract_z
Fe1 Fe 0.2500 0.2500 0.0804
Cu1 Cu 0.2500 0.2500 0.4261
Rh1 Rh 0.2500 0.2500 0.7547
```

Most intense lines, 2θ from 10° to 90°, most intense first:
d (Å), 2θ (°), intensity, h k l
2.094, 43.21, 100, 1 0 3
2.086, 43.37, 50, 1 1 0
1.206, 79.48, 30, 2 1 3
1.475, 63.02, 16, 2 0 0
1.210, 79.12, 15, 1 1 6
2.801, 31.95, 9, 1 0 1
1.486, 62.49, 8, 0 0 6
4.459, 19.91, 4, 0 0 2
1.523, 60.81, 3, 1 1 4
2.229, 40.46, 2, 0 0 4

***

5.
For Y6Mn23, a crystal structure in Alexandria, relaxed with PBE gives the theoretical powder XRD pattern in this record (Cu Kα X-rays).
Peak positions follow from Bragg's law for the DFT cell and can differ from measured ones.

Atomic structure:
```
data_Y6Mn23
_symmetry_space_group_name_H-M 'F m -3 m'
_symmetry_Int_Tables_number 225
_symmetry_space_group_name_Hall '-F 4 2 3'
_cell_length_a 12.0404
_cell_length_b 12.0404
_cell_length_c 12.0404
_cell_angle_alpha 90.00
_cell_angle_beta 90.00
_cell_angle_gamma 90.00
loop_
_atom_site_label
_atom_site_type_symbol
_atom_site_fract_x
_atom_site_fract_y
_atom_site_fract_z
Y1 Y 0.0000 0.0000 0.2054
Mn1 Mn 0.0000 0.0000 0.5000
Mn2 Mn 0.0000 0.2500 0.2500
Mn3 Mn 0.1222 0.1222 0.3778
Mn4 Mn 0.1775 0.1775 0.1775
```

Most intense lines, 2θ from 10° to 90°, most intense first:
d (Å), 2θ (°), intensity, h k l
2.128, 42.47, 100, 4 4 0
2.317, 38.87, 73, 3 3 3
2.458, 36.56, 23, 4 2 2
1.419, 65.82, 19, 8 2 2
2.035, 44.52, 18, 5 3 1
2.762, 32.41, 16, 3 3 1
1.210, 79.15, 15, 9 3 3
1.471, 63.21, 14, 7 3 3
1.229, 77.71, 14, 8 4 4
2.007, 45.18, 14, 6 0 0

***

6.
For C7Se6, a crystal structure in Alexandria, relaxed with PBE gives the theoretical powder XRD pattern in this record (Cu Kα X-rays).
Peak positions follow from Bragg's law for the DFT cell and can differ from measured ones.

Atomic structure:
```
data_C7Se6
_symmetry_space_group_name_H-M 'R -3 m'
_symmetry_Int_Tables_number 166
_symmetry_space_group_name_Hall '-R 3 2"'
_cell_length_a 5.4863
_cell_length_b 5.4863
_cell_length_c 27.0684
_cell_angle_alpha 90.00
_cell_angle_beta 90.00
_cell_angle_gamma 120.00
loop_
_atom_site_label
_atom_site_type_symbol
_atom_site_fract_x
_atom_site_fract_y
_atom_site_fract_z
C1 C 0.0000 0.0000 0.0000
C2 C 0.0911 0.1822 0.9494
Se1 Se 0.0000 0.0000 0.1717
Se2 Se 0.0000 0.0000 0.2803
Se3 Se 0.0000 0.0000 0.3700
```

Most intense lines, 2θ from 10° to 90°, most intense first:
d (Å), 2θ (°), intensity, h k l
2.743, 32.64, 100, 1 1 0
4.483, 19.80, 52, 0 1 2
2.027, 44.71, 50, 1 1 9
3.007, 29.71, 34, 0 0 9
2.185, 41.32, 29, 0 1 11
2.341, 38.45, 20, 2 0 2
1.451, 64.21, 20, 1 2 11
1.584, 58.25, 16, 3 0 0
1.709, 53.62, 15, 2 0 11
1.780, 51.32, 14, 1 2 2